Calculated XRD peak list of LiFeBr3 for copper Kα, from a cell relaxed with GGA-PBE.

Most intense lines, 2θ from 5° to 70°, sorted by position:
| (hkl) | two_theta | d/Å | intensity |
| --- | --- | --- | --- |
| 0 1 1 | 13.9 | 6.385 | 37 |
| 0 4 0 | 15.0 | 5.925 | 49 |
| 0 0 2 | 26.9 | 3.315 | 45 |
| 1 4 0 | 27.1 | 3.288 | 37 |
| 1 3 1 | 28.6 | 3.119 | 100 |
| 0 7 1 | 29.6 | 3.015 | 57 |
| 1 10 0 | 44.6 | 2.032 | 39 |
| 1 3 3 | 48.6 | 1.874 | 36 |

```
data_LiFeBr3
_chemical_formula_sum 'Li4 Fe4 Br12'
_cell_length_a 3.952
_cell_length_b 23.700
_cell_length_c 6.630
_cell_angle_alpha 90.00
_cell_angle_beta 90.00
_cell_angle_gamma 90.00
_symmetry_space_group_name_H-M 'A m a 2'
_symmetry_Int_Tables_number 40
loop_
_symmetry_equiv_pos_as_xyz
'x,y,z'
'-x,-y,z'
'-x+1/2,y,z'
'x+1/2,-y,z'
'x,y+1/2,z+1/2'
'-x,-y+1/2,z+1/2'
'-x+1/2,y+1/2,z+1/2'
'x+1/2,-y+1/2,z+1/2'
loop_
_atom_site_label
_atom_site_fract_x
_atom_site_fract_y
_atom_site_fract_z
Li1 0.250 0.187 0.000
Fe1 0.250 0.371 0.958
Br1 0.250 0.078 0.332
Br2 0.250 0.281 0.775
Br3 0.250 0.370 0.322
```



Calculated XRD peak list of Ac4In12Pd for copper Kα, from a cell relaxed with GGA-PBE.

Most intense lines, 2θ from 5° to 70°, sorted by position:
| (hkl) | two_theta | d/Å | intensity |
| --- | --- | --- | --- |
| 2 2 0 | 25.6 | 3.482 | 18 |
| 2 2 2 | 31.5 | 2.843 | 100 |
| 4 0 0 | 36.5 | 2.462 | 60 |
| 4 2 2 | 45.1 | 2.010 | 6 |
| 4 4 0 | 52.6 | 1.741 | 39 |
| 6 2 0 | 59.3 | 1.557 | 6 |
| 6 2 2 | 62.6 | 1.485 | 36 |
| 4 4 4 | 65.7 | 1.422 | 12 |

```
data_Ac4In12Pd
_chemical_formula_sum 'Ac8 In24 Pd2'
_cell_length_a 9.849
_cell_length_b 9.849
_cell_length_c 9.849
_cell_angle_alpha 90.00
_cell_angle_beta 90.00
_cell_angle_gamma 90.00
_symmetry_space_group_name_H-M 'I m -3 m'
_symmetry_Int_Tables_number 229
_symmetry_space_group_name_Hall '-I 4 2 3'
loop_
_atom_site_label
_atom_site_fract_x
_atom_site_fract_y
_atom_site_fract_z
Ac1 0.250 0.250 0.250
In1 0.000 0.000 0.285
In2 0.000 0.250 0.500
Pd1 0.000 0.000 0.000
```



Calculated XRD peak list of Pm5Tl2Bi for copper Kα, from a cell relaxed with GGA-PBE.

Most intense lines, 2θ from 5° to 70°, sorted by position:
| (hkl) | two_theta | d/Å | intensity |
| --- | --- | --- | --- |
| 2 2 0 | 29.0 | 3.083 | 10 |
| 2 1 3 | 30.6 | 2.923 | 100 |
| 3 1 0 | 32.5 | 2.758 | 58 |
| 2 0 4 | 34.0 | 2.638 | 12 |
| 3 1 4 | 42.6 | 2.120 | 12 |
| 4 2 0 | 46.6 | 1.950 | 9 |
| 4 1 3 | 47.7 | 1.908 | 11 |
| 5 2 3 | 60.9 | 1.520 | 23 |

```
data_Pm5Tl2Bi
_chemical_formula_sum 'Pm20 Tl8 Bi4'
_cell_length_a 8.721
_cell_length_b 8.721
_cell_length_c 13.253
_cell_angle_alpha 90.00
_cell_angle_beta 90.00
_cell_angle_gamma 90.00
_symmetry_space_group_name_H-M 'I 4/m c m'
_symmetry_Int_Tables_number 140
_symmetry_space_group_name_Hall '-I 4 2c'
loop_
_atom_site_label
_atom_site_fract_x
_atom_site_fract_y
_atom_site_fract_z
Pm1 0.000 0.000 0.000
Pm2 0.155 0.345 0.150
Tl1 0.145 0.355 0.500
Bi1 0.000 0.000 0.250
```



Calculated XRD peak list of Ce2NdHg7 for copper Kα, from a cell relaxed with GGA-PBE.

Most intense lines, 2θ from 5° to 70°, sorted by position:
| (hkl) | two_theta | d/Å | intensity |
| --- | --- | --- | --- |
| 0 0 1 | 6.9 | 12.741 | 13 |
| 0 1 2 | 24.4 | 3.653 | 28 |
| 1 0 4 | 34.6 | 2.592 | 100 |
| 1 1 0 | 34.8 | 2.574 | 97 |
| 0 2 4 | 49.9 | 1.827 | 36 |
| 0 1 8 | 61.9 | 1.500 | 16 |
| 2 1 4 | 62.3 | 1.490 | 37 |
| 3 0 0 | 62.5 | 1.486 | 21 |

```
data_Ce2NdHg7
_chemical_formula_sum 'Ce2 Nd1 Hg7'
_cell_length_a 5.1489
_cell_length_b 5.1489
_cell_length_c 12.7408
_cell_angle_alpha 90.00
_cell_angle_beta 90.00
_cell_angle_gamma 120.00
_symmetry_space_group_name_H-M 'P 3 m 1'
_symmetry_Int_Tables_number 156
loop_
_symmetry_equiv_pos_as_xyz
'x,y,z'
'-y,x-y,z'
'-x+y,-x,z'
'-y,-x,z'
'-x+y,y,z'
'x,x-y,z'
loop_
_atom_site_label
_atom_site_fract_x
_atom_site_fract_y
_atom_site_fract_z
Ce1 0.0000 0.0000 0.0000
Ce2 0.3333 0.6667 0.6567
Nd1 0.6667 0.3333 0.3166
Hg1 0.0000 0.0000 0.2545
Hg2 0.0000 0.0000 0.7471
Hg3 0.3333 0.6667 0.1542
Hg4 0.3333 0.6667 0.4128
Hg5 0.3333 0.6667 0.8998
Hg6 0.6667 0.3333 0.0616
Hg7 0.6667 0.3333 0.5676
```



Calculated XRD peak list of RbAcAgSb for copper Kα, from a cell relaxed with GGA-PBE.

Most intense lines, 2θ from 5° to 70°, sorted by position:
| (hkl) | two_theta | d/Å | intensity |
| --- | --- | --- | --- |
| 1 1 1 | 18.8 | 4.723 | 13 |
| 2 2 0 | 30.9 | 2.892 | 100 |
| 3 1 1 | 36.4 | 2.467 | 8 |
| 4 0 0 | 44.3 | 2.045 | 19 |
| 3 3 1 | 48.5 | 1.877 | 4 |
| 4 2 2 | 55.0 | 1.670 | 39 |
| 5 1 1 | 58.6 | 1.574 | 3 |
| 4 4 0 | 64.4 | 1.446 | 12 |

```
data_RbAcAgSb
_chemical_formula_sum 'Rb4 Ac4 Ag4 Sb4'
_cell_length_a 8.181
_cell_length_b 8.181
_cell_length_c 8.181
_cell_angle_alpha 90.00
_cell_angle_beta 90.00
_cell_angle_gamma 90.00
_symmetry_space_group_name_H-M 'F -4 3 m'
_symmetry_Int_Tables_number 216
_symmetry_space_group_name_Hall 'F -4 2 3'
loop_
_atom_site_label
_atom_site_fract_x
_atom_site_fract_y
_atom_site_fract_z
Rb1 0.000 0.000 0.000
Ac1 0.000 0.000 0.500
Ag1 0.250 0.250 0.750
Sb1 0.250 0.250 0.250
```



Calculated XRD peak list of Tb2PrNd4Ho for copper Kα, from a cell relaxed with GGA-PBE.

Most intense lines, 2θ from 5° to 70°, sorted by position:
| (hkl) | two_theta | d/Å | intensity |
| --- | --- | --- | --- |
| 1 1 1 | 30.1 | 2.970 | 100 |
| 0 0 4 | 30.2 | 2.959 | 33 |
| 1 1 -3 | 34.9 | 2.574 | 45 |
| 2 0 2 | 35.0 | 2.562 | 22 |
| 3 1 -1 | 50.2 | 1.817 | 24 |
| 1 1 5 | 50.3 | 1.814 | 16 |
| 0 2 4 | 59.5 | 1.553 | 19 |
| 3 1 -5 | 59.7 | 1.549 | 19 |

```
data_Tb2PrNd4Ho
_chemical_formula_sum 'Tb2 Pr1 Nd4 Ho1'
_cell_length_a 6.288
_cell_length_b 3.648
_cell_length_c 12.026
_cell_angle_alpha 90.00
_cell_angle_beta 100.22
_cell_angle_gamma 90.00
_symmetry_space_group_name_H-M 'P 1 2/m 1'
_symmetry_Int_Tables_number 10
loop_
_symmetry_equiv_pos_as_xyz
'x,y,z'
'-x,-y,-z'
'-x,y,-z'
'x,-y,z'
loop_
_atom_site_label
_atom_site_fract_x
_atom_site_fract_y
_atom_site_fract_z
Tb1 0.000 0.000 0.000
Tb2 0.000 0.500 0.500
Pr1 0.500 0.000 0.500
Nd1 0.249 0.500 0.247
Nd2 0.250 0.000 0.752
Ho1 0.500 0.500 0.000
```



Calculated XRD peak list of NaPm2Sc3Se6 for copper Kα, from a cell relaxed with GGA-PBE.

Most intense lines, 2θ from 5° to 70°, sorted by position:
| (hkl) | two_theta | d/Å | intensity |
| --- | --- | --- | --- |
| 1 1 1 | 26.1 | 3.410 | 8 |
| 6 0 0 | 31.4 | 2.850 | 100 |
| 2 0 -4 | 44.5 | 2.037 | 12 |
| 7 1 -2 | 44.6 | 2.030 | 23 |
| 5 1 2 | 45.3 | 2.001 | 24 |
| 0 2 0 | 45.5 | 1.993 | 12 |
| 6 2 0 | 56.3 | 1.633 | 12 |
| 12 0 0 | 65.5 | 1.425 | 11 |

```
data_NaPm2Sc3Se6
_chemical_formula_sum 'Na2 Pm4 Sc6 Se12'
_cell_length_a 17.663
_cell_length_b 3.986
_cell_length_c 8.151
_cell_angle_alpha 90.00
_cell_angle_beta 104.51
_cell_angle_gamma 90.00
_symmetry_space_group_name_H-M 'C 1 2/m 1'
_symmetry_Int_Tables_number 12
loop_
_symmetry_equiv_pos_as_xyz
'x,y,z'
'-x,-y,-z'
'-x,y,-z'
'x,-y,z'
'x+1/2,y+1/2,z'
'-x+1/2,-y+1/2,-z'
'-x+1/2,y+1/2,-z'
'x+1/2,-y+1/2,z'
loop_
_atom_site_label
_atom_site_fract_x
_atom_site_fract_y
_atom_site_fract_z
Na1 0.000 0.000 0.000
Pm1 0.169 0.500 0.339
Sc1 0.000 0.000 0.500
Sc2 0.167 0.500 0.824
Se1 0.005 0.500 0.738
Se2 0.160 0.000 0.596
Se3 0.171 0.000 0.066
```



Calculated XRD peak list of Nd12Hg3O4 for copper Kα, from a cell relaxed with GGA-PBE.

Most intense lines, 2θ from 5° to 70°, sorted by position:
| (hkl) | two_theta | d/Å | intensity |
| --- | --- | --- | --- |
| 1 1 0 | 12.6 | 7.021 | 10 |
| 2 1 1 | 21.9 | 4.054 | 5 |
| 2 2 2 | 31.2 | 2.866 | 100 |
| 3 2 1 | 33.8 | 2.654 | 4 |
| 4 0 0 | 36.2 | 2.482 | 57 |
| 4 4 0 | 52.1 | 1.755 | 40 |
| 6 2 2 | 62.0 | 1.497 | 43 |
| 4 4 4 | 65.1 | 1.433 | 14 |

```
data_Nd12Hg3O4
_chemical_formula_sum 'Nd24 Hg6 O8'
_cell_length_a 9.930
_cell_length_b 9.930
_cell_length_c 9.930
_cell_angle_alpha 90.00
_cell_angle_beta 90.00
_cell_angle_gamma 90.00
_symmetry_space_group_name_H-M 'I m -3 m'
_symmetry_Int_Tables_number 229
_symmetry_space_group_name_Hall '-I 4 2 3'
loop_
_atom_site_label
_atom_site_fract_x
_atom_site_fract_y
_atom_site_fract_z
Nd1 0.000 0.251 0.251
Hg1 0.000 0.000 0.500
O1 0.250 0.250 0.250
```



Calculated XRD peak list of Sm3Tl4 for copper Kα, from a cell relaxed with GGA-PBE.

Most intense lines, 2θ from 5° to 70°, sorted by position:
| (hkl) | two_theta | d/Å | intensity |
| --- | --- | --- | --- |
| 2 1 1 | 23.1 | 3.847 | 13 |
| 3 1 0 | 30.0 | 2.980 | 100 |
| 3 2 1 | 35.6 | 2.519 | 92 |
| 4 2 2 | 47.3 | 1.924 | 25 |
| 4 3 1 | 49.3 | 1.848 | 17 |
| 6 1 1 | 60.6 | 1.529 | 30 |
| 6 2 0 | 62.3 | 1.490 | 13 |
| 5 4 1 | 64.0 | 1.454 | 18 |

```
data_Sm3Tl4
_chemical_formula_sum 'Sm12 Tl16'
_cell_length_a 9.424
_cell_length_b 9.424
_cell_length_c 9.424
_cell_angle_alpha 90.00
_cell_angle_beta 90.00
_cell_angle_gamma 90.00
_symmetry_space_group_name_H-M 'I -4 3 d'
_symmetry_Int_Tables_number 220
_symmetry_space_group_name_Hall 'I -4bd 2c 3'
loop_
_atom_site_label
_atom_site_fract_x
_atom_site_fract_y
_atom_site_fract_z
Sm1 0.000 0.250 0.875
Tl1 0.082 0.418 0.582
```